(1)
Sm2Sc2CICl4: theoretical powder diffractogram (Cu Kα (weighted mean of Kα1 and Kα2)), based on a PBE-relaxed structure.
No peak broadening, texture or thermal motion is included.

The 10 most intense peaks (5° ≤ 2θ ≤ 70°), in order of falling intensity:
2theta, d/Å, intensity
32.73, 2.736, 100
32.84, 2.727, 90
21.69, 4.097, 50
17.76, 4.994, 49
11.44, 7.738, 47
29.51, 3.027, 39
47.59, 1.911, 29
46.50, 1.953, 24
35.97, 2.496, 20
39.33, 2.291, 17

```
10
Lattice="8.490 -1.870 0.000 8.490 1.870 0.000 -2.148 0.000 7.738" Properties=species:S:1:pos:R:3 pbc="T T T"
Sm 2.329 0.000 0.664
Sm 12.503 0.000 7.075
Sc 8.101 0.000 1.432
Sc 6.731 0.000 6.306
C 0.000 0.000 0.000
I -1.074 0.000 3.869
Cl 5.360 0.000 1.271
Cl 4.382 0.000 5.093
Cl 10.450 0.000 2.645
Cl 9.472 0.000 6.467
```


(2)
Ni16Te: theoretical powder diffractogram (Cu Kα (weighted mean of Kα1 and Kα2)), based on a PBE-relaxed structure.
No peak broadening, texture or thermal motion is included.

The 10 most intense peaks (5° ≤ 2θ ≤ 70°), in order of falling intensity:
2theta, d/Å, intensity
43.97, 2.059, 100
9.54, 9.267, 80
45.62, 1.989, 69
51.07, 1.789, 61
42.50, 2.127, 55
49.41, 1.844, 39
46.30, 1.961, 36
42.94, 2.106, 36
55.03, 1.669, 22
6.36, 13.896, 21

```
34
Lattice="10.003 0.000 0.000 0.000 2.617 0.000 -1.016 0.000 27.791" Properties=species:S:1:pos:R:3 pbc="T T T"
Ni 0.103 0.654 1.041
Ni 0.311 1.963 3.123
Ni 0.554 0.654 5.249
Ni 0.495 0.654 23.028
Ni 0.714 1.963 25.101
Ni 0.923 0.654 27.176
Ni 2.145 1.963 1.467
Ni 2.340 0.654 3.548
Ni 2.586 1.963 5.608
Ni 2.365 0.654 21.367
Ni 2.550 1.963 23.449
Ni 2.757 0.654 25.512
Ni 2.963 1.963 27.587
Ni 4.188 0.654 1.871
Ni 4.394 1.963 3.943
Ni 4.601 0.654 6.003
Ni 4.387 1.963 21.788
Ni 4.594 0.654 23.848
Ni 4.800 1.963 25.921
Ni 6.024 0.654 0.204
Ni 6.231 1.963 2.279
Ni 6.437 0.654 4.342
Ni 6.622 1.963 6.424
Ni 6.402 0.654 22.183
Ni 6.648 1.963 24.243
Ni 6.843 0.654 26.324
Ni 8.065 1.963 0.616
Ni 8.274 0.654 2.690
Ni 8.493 1.963 4.763
Ni 8.434 1.963 22.542
Ni 8.677 0.654 24.668
Ni 8.885 1.963 26.750
Te 0.206 1.963 20.644
Te 8.781 0.654 7.147
```


(3)
ZnP3H12NO13: theoretical powder diffractogram (Cu Kα (weighted mean of Kα1 and Kα2)), based on a PBE-relaxed structure.
No peak broadening, texture or thermal motion is included.

The 10 most intense peaks (5° ≤ 2θ ≤ 70°), in order of falling intensity:
2theta, d/Å, intensity
14.55, 6.087, 100
27.70, 3.221, 95
16.64, 5.328, 69
12.88, 6.872, 66
30.02, 2.977, 63
9.35, 9.463, 55
15.21, 5.827, 48
17.57, 5.048, 41
21.47, 4.139, 38
28.45, 3.137, 37

```
60
Lattice="7.149 0.000 0.000 3.144 7.924 0.000 2.557 2.493 9.463" Properties=species:S:1:pos:R:3 pbc="T T T"
Zn 0.000 0.000 0.000
Zn 6.425 5.208 4.732
P 4.099 6.094 7.202
P 1.921 1.424 2.166
P 5.290 4.086 8.815
P 7.560 6.331 0.648
P 10.929 8.992 7.297
P 8.750 4.322 2.261
H 3.585 6.842 3.716
H 2.960 2.614 4.610
H 3.745 3.918 5.434
H 3.329 2.501 6.235
H 3.626 5.298 0.525
H 4.370 4.968 2.848
H 4.927 6.185 0.375
H 7.076 8.435 7.681
H 6.447 7.810 4.127
H 5.516 6.011 2.440
H 7.033 7.663 5.607
H 4.536 1.606 2.725
H 8.314 8.810 6.738
H 5.817 2.753 3.856
H 7.333 4.405 7.023
H 6.403 2.606 5.336
H 5.774 1.981 1.782
H 7.923 4.231 9.088
H 8.480 5.448 6.615
H 9.224 5.118 8.938
H 9.520 7.915 3.228
H 9.105 6.498 4.030
H 9.890 7.803 4.853
H 9.265 3.574 5.748
N 3.033 3.161 5.490
N 9.816 7.255 3.973
O 4.608 7.617 7.185
O 4.064 8.294 1.848
O 3.073 4.397 1.979
O 4.934 5.630 8.510
O 4.148 3.212 8.407
O 4.635 5.413 5.979
O 6.617 8.447 9.382
O 2.805 1.298 3.375
O 2.934 1.680 0.938
O 5.043 5.602 3.230
O 7.346 8.633 6.746
O 6.921 7.167 4.722
O 6.209 6.648 1.203
O 6.641 3.768 8.260
O 5.929 3.249 4.742
O 5.503 1.784 2.717
O 7.807 4.815 6.234
O 9.916 8.736 8.525
O 10.044 9.118 6.088
O 6.233 1.969 0.081
O 8.215 5.003 3.484
O 8.702 7.204 1.056
O 7.916 4.786 0.953
O 9.777 6.019 7.484
O 8.786 2.122 7.615
O 8.241 2.800 2.279
```


(4)
Tb2Sm3Er: theoretical powder diffractogram (Cu Kα (weighted mean of Kα1 and Kα2)), based on a PBE-relaxed structure.
No peak broadening, texture or thermal motion is included.

The 10 most intense peaks (5° ≤ 2θ ≤ 70°), in order of falling intensity:
2theta, d/Å, intensity
32.70, 2.738, 100
29.75, 3.003, 47
30.96, 2.889, 35
60.74, 1.525, 31
50.85, 1.796, 26
37.16, 2.420, 26
56.18, 1.637, 22
61.78, 1.502, 16
49.12, 1.855, 12
28.71, 3.110, 6

```
12
Lattice="5.386 -3.110 0.000 5.386 3.110 0.000 0.000 0.000 11.554" Properties=species:S:1:pos:R:3 pbc="T T T"
Tb 7.183 -2.073 2.889
Tb 3.590 2.073 8.666
Tb 7.183 2.073 8.666
Tb 3.590 -2.073 2.889
Sm 0.000 0.000 0.000
Sm 0.000 0.000 5.777
Sm 3.597 0.000 0.000
Sm 3.597 0.000 5.777
Sm 7.176 0.000 0.000
Sm 7.176 0.000 5.777
Er 5.386 1.040 2.889
Er 5.386 -1.040 8.666
```


(5)
Hf3Nb2Ga3: theoretical powder diffractogram (Cu Kα (weighted mean of Kα1 and Kα2)), based on a PBE-relaxed structure.
No peak broadening, texture or thermal motion is included.

The 10 most intense peaks (5° ≤ 2θ ≤ 70°), in order of falling intensity:
2theta, d/Å, intensity
38.43, 2.342, 100
40.12, 2.248, 45
34.59, 2.593, 27
39.40, 2.287, 25
62.34, 1.489, 24
32.81, 2.729, 19
27.83, 3.206, 19
64.12, 1.452, 18
35.39, 2.536, 17
61.29, 1.513, 15

```
16
Lattice="7.923 0.000 0.000 -3.962 6.862 0.000 0.000 0.000 5.458" Properties=species:S:1:pos:R:3 pbc="T T T"
Hf -0.977 1.693 1.365
Hf -2.984 5.169 4.094
Hf 1.955 0.000 1.365
Hf 0.977 1.693 4.094
Hf 5.968 0.000 4.094
Hf 2.984 5.169 1.365
Nb 0.000 4.574 0.000
Nb 0.000 4.574 2.729
Nb 3.962 2.287 0.000
Nb 3.962 2.287 2.729
Ga -1.569 2.718 4.094
Ga -2.392 4.144 1.365
Ga 3.139 0.000 4.094
Ga 1.569 2.718 1.365
Ga 4.785 0.000 1.365
Ga 2.392 4.144 4.094
```


(6)
Li4Ni2SnPb: theoretical powder diffractogram (Cu Kα (weighted mean of Kα1 and Kα2)), based on a PBE-relaxed structure.
No peak broadening, texture or thermal motion is included.

The 10 most intense peaks (5° ≤ 2θ ≤ 70°), in order of falling intensity:
2theta, d/Å, intensity
24.88, 3.579, 100
41.19, 2.192, 80
48.72, 1.869, 50
65.65, 1.422, 21
28.80, 3.100, 17
59.66, 1.550, 13
67.58, 1.386, 8
51.04, 1.789, 5
20.27, 4.382, 5
32.30, 2.772, 4

```
8
Lattice="4.382 0.000 0.000 0.000 4.382 0.000 0.000 0.000 6.204" Properties=species:S:1:pos:R:3 pbc="T T T"
Li 0.000 0.000 0.000
Li 0.000 2.191 1.519
Li 2.191 0.000 4.684
Li 2.191 2.191 3.102
Ni 0.000 2.191 4.725
Ni 2.191 0.000 1.479
Sn 2.191 2.191 0.000
Pb 0.000 0.000 3.102
```


(7)
Zr4InNiN2: theoretical powder diffractogram (Cu Kα (weighted mean of Kα1 and Kα2)), based on a PBE-relaxed structure.
No peak broadening, texture or thermal motion is included.

The 10 most intense peaks (5° ≤ 2θ ≤ 70°), in order of falling intensity:
2theta, d/Å, intensity
37.05, 2.426, 100
31.46, 2.843, 24
56.02, 1.642, 23
69.08, 1.360, 15
38.69, 2.327, 13
50.69, 1.801, 11
62.43, 1.487, 10
34.05, 2.633, 9
45.52, 1.993, 8
32.05, 2.792, 7

```
8
Lattice="3.283 0.000 0.000 -1.642 2.843 0.000 0.000 0.000 13.963" Properties=species:S:1:pos:R:3 pbc="T T T"
Zr 0.000 0.000 1.938
Zr 0.000 0.000 12.025
Zr 1.642 0.948 4.504
Zr 1.642 0.948 9.459
In 0.000 0.000 6.982
Ni 1.642 0.948 0.000
N 0.000 1.896 3.248
N 0.000 1.896 10.715
```


(8)
NbZn: theoretical powder diffractogram (Cu Kα (weighted mean of Kα1 and Kα2)), based on a PBE-relaxed structure.
No peak broadening, texture or thermal motion is included.

The 10 most intense peaks (5° ≤ 2θ ≤ 70°), in order of falling intensity:
2theta, d/Å, intensity
40.74, 2.215, 100
37.50, 2.398, 56
42.09, 2.147, 30
69.89, 1.346, 19
35.97, 2.497, 14
54.06, 1.696, 12
66.60, 1.404, 12
52.96, 1.729, 9
63.67, 1.462, 7
15.15, 5.846, 4

```
8
Lattice="5.846 0.000 0.000 0.000 4.803 0.000 0.000 0.000 4.793" Properties=species:S:1:pos:R:3 pbc="T T T"
Nb 0.695 0.289 1.198
Nb 0.695 2.112 3.595
Nb 5.152 2.691 1.198
Nb 5.152 4.513 3.595
Zn 2.240 2.754 1.198
Zn 2.240 4.450 3.595
Zn 3.606 0.353 1.198
Zn 3.606 2.049 3.595
```